Record 1
Structure and theoretical X-ray powder pattern of NaCo2H3Se2O10 (a structure optimized by DFT (PBE+U); Cu Kα X-rays).
Neutral-atom scattering factors, no anomalous dispersion.

Structural model:
Cell lengths 5.5525, 7.7675, 10.0662 Å; angles 107.22, 96.54, 96.04 degrees
Fractional positions:
Na 0.0000 0.0000 0.0000
Na 0.4924 0.4985 0.4982
Co 0.2494 0.2451 0.7466
Co 0.4944 0.9990 0.5004
Co 0.7467 0.7519 0.2514
Co 0.9994 0.4999 0.9989
H 0.0809 0.5461 0.2705
H 0.2324 0.7370 0.2502
H 0.4180 0.9528 0.2364
H 0.5776 0.0466 0.7650
H 0.7676 0.2653 0.7483
H 0.9175 0.4540 0.7256
Se 0.0091 0.8072 0.6035
Se 0.4884 0.6879 0.8965
Se 0.5107 0.3117 0.1015
Se 0.9782 0.1904 0.3958
O 0.0568 0.9928 0.7470
O 0.0654 0.6351 0.2184
O 0.0860 0.3727 0.3569
O 0.1989 0.1663 0.5196
O 0.2304 0.7147 0.9691
O 0.2699 0.7803 0.5337
O 0.2857 0.3386 0.9787
O 0.4037 0.1278 0.1375
O 0.4355 0.5035 0.7525
O 0.4372 0.8649 0.2885
O 0.5572 0.1341 0.7125
O 0.5582 0.4984 0.2445
O 0.5971 0.8734 0.8632
O 0.7111 0.6571 0.0185
O 0.7172 0.2169 0.4650
O 0.7693 0.2850 0.0299
O 0.7912 0.8354 0.4801
O 0.8984 0.6234 0.6397
O 0.9328 0.3647 0.7779
O 0.9359 0.0023 0.2536

Main lines, sorted by position (10 to 90 degrees two-theta):
2theta, I/Imax
17.4, 96.6
25.7, 100.0
27.0, 45.4
27.1, 45.1
29.6, 85.9
30.4, 50.1
34.1, 50.3
34.3, 49.0

Record 2
Structure and theoretical X-ray powder pattern of Sr4Ca4Mn7FeO24 (a structure optimized by DFT (PBE+U); Cu Kα X-rays).
Neutral-atom scattering factors, no anomalous dispersion.

Structural model:
Cell lengths 7.7091, 7.7091, 7.7082 Å; angles 90.01, 90.01, 90.00 degrees
Fractional positions:
Sr 0.0000 0.0000 0.0000
Sr 0.9999 0.4997 0.0000
Sr 0.4997 0.9999 0.0000
Sr 0.4996 0.4996 0.4998
Ca 0.9999 0.9999 0.4999
Ca 0.9999 0.4997 0.4999
Ca 0.4997 0.9999 0.4999
Ca 0.4998 0.4998 0.9999
Mn 0.2498 0.2498 0.7489
Mn 0.2499 0.7498 0.2511
Mn 0.2499 0.7498 0.7489
Mn 0.7498 0.2499 0.2511
Mn 0.7498 0.2499 0.7489
Mn 0.7498 0.7498 0.2510
Mn 0.7498 0.7498 0.7489
Fe 0.2498 0.2498 0.2511
O 0.9997 0.7498 0.7443
O 0.2473 0.7522 0.5005
O 0.2478 0.2478 0.5047
O 0.2498 0.5005 0.7492
O 0.2498 0.5046 0.2508
O 0.2498 0.9951 0.2549
O 0.2499 0.9992 0.7444
O 0.2519 0.2519 0.9952
O 0.2524 0.7474 0.9992
O 0.5005 0.2498 0.7492
O 0.5005 0.7499 0.2504
O 0.4999 0.7498 0.7493
O 0.5046 0.2498 0.2508
O 0.7474 0.2524 0.9992
O 0.7473 0.7473 0.9998
O 0.7498 0.9997 0.7443
O 0.7499 0.5005 0.2504
O 0.7498 0.4999 0.7493
O 0.7498 0.9992 0.2555
O 0.7522 0.2473 0.5005
O 0.7523 0.7523 0.4999
O 0.9951 0.2498 0.2549
O 0.9992 0.2499 0.7444
O 0.9992 0.7498 0.2555

Main lines, sorted by position (10 to 90 degrees two-theta):
2theta, I/Imax
16.3, 3.6
32.9, 100.0
40.5, 10.8
47.2, 43.9
58.7, 36.3
68.9, 24.2
78.5, 15.3
87.7, 7.9

Record 3
Structure and theoretical X-ray powder pattern of V2ZnO4 (a structure optimized by DFT (PBE+U); Cu Kα X-rays).
Neutral-atom scattering factors, no anomalous dispersion.

Structural model:
Cell lengths 6.1212, 6.1212, 6.1212 Å; angles 121.19, 120.78, 88.31 degrees
Fractional positions:
V 0.0000 0.0000 0.0000
V 0.3825 0.6325 0.7500
V 0.5000 0.0000 0.5000
V 0.6175 0.3675 0.2500
Zn 0.0000 0.0000 0.5000
Zn 0.0000 0.5000 0.0000
O 0.2280 0.2367 0.9913
O 0.2519 0.2343 0.4824
O 0.2519 0.7696 0.0176
O 0.2546 0.7633 0.4913
O 0.7454 0.2367 0.5087
O 0.7481 0.2304 0.9824
O 0.7481 0.7657 0.5176
O 0.7720 0.7633 0.0087

Main lines, sorted by position (10 to 90 degrees two-theta):
2theta, I/Imax
17.8, 41.7
29.2, 36.6
34.0, 86.5
34.7, 61.5
34.9, 100.0
42.4, 45.0
55.9, 26.8
60.5, 79.8

Record 4
Structure and theoretical X-ray powder pattern of FeOF (a structure optimized by DFT (PBE+U); Cu Kα X-rays).
Neutral-atom scattering factors, no anomalous dispersion.

Structural model:
Cell lengths 5.6834, 5.6914, 7.6701 Å; angles 69.71, 69.83, 69.41 degrees
Fractional positions:
Fe 0.0000 0.0000 0.0000
Fe 0.0154 0.0247 0.4935
Fe 0.3427 0.3370 0.1693
Fe 0.3875 0.3188 0.6722
Fe 0.6466 0.6545 0.8264
Fe 0.6712 0.6723 0.3488
O 0.2998 0.7017 0.0029
O 0.3719 0.9742 0.3357
O 0.5773 0.5592 0.6294
O 0.6682 0.0127 0.6697
O 0.7053 0.2999 0.0000
O 0.9786 0.3737 0.3310
F 0.0554 0.6230 0.6692
F 0.1229 0.1075 0.7032
F 0.2385 0.2315 0.9606
F 0.4433 0.4337 0.3770
F 0.7736 0.7693 0.0462
F 0.9104 0.9043 0.2986

Main lines, sorted by position (10 to 90 degrees two-theta):
2theta, I/Imax
25.4, 100.0
27.5, 88.2
34.6, 96.0
50.9, 63.3
53.4, 47.5
59.9, 20.5
66.1, 30.7
66.3, 18.0

Record 5
Structure and theoretical X-ray powder pattern of Nb3VF6 (a structure optimized by DFT (PBE+U); Cu Kα X-rays).
Neutral-atom scattering factors, no anomalous dispersion.

Structural model:
Cell lengths 5.2571, 6.1683, 12.4370 Å; angles 89.23, 88.18, 68.84 degrees
Fractional positions:
Nb 0.0000 0.0000 0.0000
Nb 0.0000 0.5000 0.5000
Nb 0.5000 0.0000 0.0000
V 0.0000 0.5000 0.0000
F 0.0682 0.7395 0.8895
F 0.0812 0.4869 0.6486
F 0.3380 0.2887 0.9041
F 0.6620 0.7113 0.0959
F 0.9188 0.5131 0.3514
F 0.9318 0.2605 0.1105

Main lines, sorted by position (10 to 90 degrees two-theta):
2theta, I/Imax
14.3, 100.0
17.0, 68.6
18.1, 18.9
19.1, 16.7
26.5, 15.0
31.1, 11.5
34.4, 17.4
42.8, 13.2

Record 6
Structure and theoretical X-ray powder pattern of Li4Mn3F10 (a structure optimized by DFT (PBE+U); Cu Kα X-rays).
Neutral-atom scattering factors, no anomalous dispersion.

Structural model:
Cell lengths 9.9924, 9.9924, 5.2150 Å; angles 95.82, 95.82, 111.36 degrees
Fractional positions:
Li 0.0771 0.9229 0.7500
Li 0.1019 0.6197 0.6756
Li 0.2096 0.7904 0.2500
Li 0.3803 0.8981 0.8244
Li 0.6197 0.1019 0.1756
Li 0.7904 0.2096 0.7500
Li 0.8981 0.3803 0.3244
Li 0.9229 0.0771 0.2500
Mn 0.1240 0.2791 0.8437
Mn 0.2791 0.1240 0.3437
Mn 0.3850 0.6150 0.2500
Mn 0.6150 0.3850 0.7500
Mn 0.7209 0.8760 0.6563
Mn 0.8760 0.7209 0.1563
F 0.0415 0.4119 0.6570
F 0.0608 0.7649 0.9519
F 0.0962 0.1493 0.4892
F 0.1493 0.0962 0.9892
F 0.2351 0.9392 0.5481
F 0.2709 0.6843 0.4953
F 0.3017 0.4017 0.1172
F 0.3157 0.7291 0.0047
F 0.4017 0.3017 0.6172
F 0.4119 0.0415 0.1570
F 0.5881 0.9585 0.8430
F 0.5983 0.6983 0.3828
F 0.6843 0.2709 0.9953
F 0.6983 0.5983 0.8828
F 0.7291 0.3157 0.5047
F 0.7649 0.0608 0.4519
F 0.8507 0.9038 0.0108
F 0.9038 0.8507 0.5108
F 0.9392 0.2351 0.0481
F 0.9585 0.5881 0.3430

Main lines, sorted by position (10 to 90 degrees two-theta):
2theta, I/Imax
10.7, 23.4
18.5, 20.8
19.3, 18.3
24.0, 100.0
24.7, 36.2
27.9, 54.0
38.6, 20.4
48.1, 14.1

Record 7
Structure and theoretical X-ray powder pattern of MgV2Te2O7F2 (a structure optimized by DFT (PBE+U); Cu Kα X-rays).
Neutral-atom scattering factors, no anomalous dispersion.

Structural model:
Cell lengths 5.0014, 5.6307, 7.3912 Å; angles 71.46, 85.79, 79.06 degrees
Fractional positions:
Mg 0.0000 0.0000 0.0000
V 0.5041 0.9419 0.3454
V 0.9602 0.9430 0.6180
Te 0.4970 0.4725 0.7908
Te 0.9705 0.4260 0.2026
O 0.2010 0.7367 0.8681
O 0.2426 0.1342 0.1316
O 0.6785 0.7338 0.6127
O 0.7424 0.7842 0.1838
O 0.7560 0.4002 0.9966
O 0.7622 0.1844 0.3672
O 0.8019 0.1619 0.7565
F 0.2130 0.7124 0.4692
F 0.2586 0.1413 0.5057

Main lines, sorted by position (10 to 90 degrees two-theta):
2theta, I/Imax
17.7, 70.7
22.3, 37.7
23.0, 98.8
27.6, 70.2
28.5, 100.0
31.2, 44.6
32.0, 37.5
43.3, 40.9

Record 8
Structure and theoretical X-ray powder pattern of Y2MoO6 (a structure optimized by DFT (PBE+U); Cu Kα X-rays).
Neutral-atom scattering factors, no anomalous dispersion.

Structural model:
Cell lengths 9.9901, 9.9901, 5.4208 Å; angles 105.14, 105.14, 68.00 degrees
Fractional positions:
Y 0.0523 0.2837 0.8780
Y 0.1067 0.8933 0.7500
Y 0.2837 0.0523 0.3780
Y 0.3637 0.6363 0.2500
Y 0.6363 0.3637 0.7500
Y 0.7163 0.9477 0.6220
Y 0.8933 0.1067 0.2500
Y 0.9477 0.7163 0.1220
Mo 0.2047 0.4875 0.5590
Mo 0.4875 0.2047 0.0590
Mo 0.5125 0.7953 0.9410
Mo 0.7953 0.5125 0.4410
O 0.0688 0.4757 0.2542
O 0.0729 0.1101 0.0781
O 0.1101 0.0729 0.5781
O 0.1632 0.6929 0.4170
O 0.1736 0.6147 0.8679
O 0.2112 0.3167 0.6345
O 0.3071 0.8368 0.0830
O 0.3167 0.2112 0.1345
O 0.3853 0.8264 0.6321
O 0.3897 0.4515 0.5140
O 0.4515 0.3897 0.0140
O 0.4757 0.0688 0.7542
O 0.5243 0.9312 0.2458
O 0.5485 0.6103 0.9860
O 0.6103 0.5485 0.4860
O 0.6147 0.1736 0.3679
O 0.6833 0.7888 0.8655
O 0.6929 0.1632 0.9170
O 0.7888 0.6833 0.3655
O 0.8264 0.3853 0.1321
O 0.8368 0.3071 0.5830
O 0.8899 0.9271 0.4219
O 0.9271 0.8899 0.9219
O 0.9312 0.5243 0.7458

Main lines, sorted by position (10 to 90 degrees two-theta):
2theta, I/Imax
28.4, 100.0
28.7, 90.8
32.0, 18.5
33.1, 15.4
34.2, 13.6
46.7, 27.6
47.6, 28.5
48.0, 16.3